Entry 1:
Starting from a structure optimized by DFT (GGA-PBE), the PXRD pattern of La8Pr5Pu was computed for Cu Ka.

Principal peaks in the range 2θ from 5° to 70°, by intensity:
hkl	two_theta	I_rel
4 0 -3	30.68	100
5 1 -1	31.19	67
1 1 2	30.27	65
1 3 0	31.52	50
4 2 -1	30.88	49
0 2 2	31.60	29
2 2 -2	28.49	24
9 1 -4	55.45	24

Cell and atoms:
Lattice parameters (Å, degrees): 15.679 8.732 8.996 90.00 124.23 90.00
Space group C2 (No. 5)
Asymmetric unit:
La: 0.118 0.000 0.196 x4
La: 0.161 0.598 0.199 x4
La: 0.175 0.284 0.921 x4
La: 0.201 0.776 0.579 x4
Pr: 0.000 0.044 0.500 x2
Pr: 0.053 0.707 0.761 x4
Pr: 0.101 0.380 0.466 x4
Pu: 0.000 0.343 0.000 x2



Entry 2:
Starting from a structure optimized by DFT (GGA-PBE), the PXRD pattern of TbPmCoI was computed for Cu Ka.

Principal peaks in the range 2θ from 5° to 70°, by intensity:
hkl	two_theta	I_rel
0 1 5	31.89	100
1 0 4	29.82	50
1 1 0	45.42	47
2 0 5	56.55	31
1 1 9	57.68	25
1 0 1	26.03	20
0 0 9	33.61	19
1 0 10	46.03	19

Cell and atoms:
Lattice parameters (Å, degrees): 3.9932 3.9932 24.0003 90.00 90.00 120.00
Space group R3m (No. 160, hexagonal axes)
Asymmetric unit:
Tb: 0.0000 0.0000 0.0000 x3
Pm: 0.0000 0.0000 0.2132 x3
Co: 0.0000 0.0000 0.6078 x3
I: 0.0000 0.0000 0.4372 x3



Entry 3:
Starting from a structure optimized by DFT (GGA-PBE), the PXRD pattern of Mg2PaPd5 was computed for Cu Ka.

Principal peaks in the range 2θ from 5° to 70°, by intensity:
hkl	two_theta	I_rel
1 1 4	38.19	100
0 0 2	11.42	44
2 0 0	43.08	36
1 1 2	32.29	22
2 0 8	65.58	20
0 0 8	46.91	14
2 2 0	62.57	12
1 0 1	21.93	8

Cell and atoms:
Lattice parameters (Å, degrees): 4.199 4.199 15.493 90.00 90.00 90.00
Space group I4/mmm (No. 139)
Asymmetric unit:
Mg: 0.000 0.000 0.247 x4
Pa: 0.000 0.000 0.500 x2
Pd: 0.000 0.000 0.000 x2
Pd: 0.000 0.500 0.129 x8